Starting from a cell relaxed with PBE, the powder diffractogram of RbPa2AlO8 was calculated for Cu Ka.

Crystal structure
a = 6.6100 Å, b = 6.6301 Å, c = 8.1715 Å
α = 90.00°, β = 90.00°, γ = 90.00°
Space group Cmmm (No. 65)
Inequivalent atoms, fractional coordinates:
Rb 0.0000 0.0000 0.0000 x2
Pa 0.0000 0.5000 0.2897 x4
Al 0.0000 0.0000 0.5000 x2
O 0.0000 0.1982 0.3164 x8
O 0.1111 0.5000 0.0000 x4
O 0.2088 0.5000 0.5000 x4

The 10 most intense peaks (10° ≤ 2θ ≤ 80°), sorted by position:
| 2θ/deg | I (rel.) |
| --- | --- |
| 19.0 | 78 |
| 21.9 | 19 |
| 26.9 | 100 |
| 29.0 | 99 |
| 34.9 | 22 |
| 38.5 | 27 |
| 43.0 | 25 |
| 48.8 | 30 |
| 48.9 | 32 |
| 63.9 | 17 |


Starting from a cell relaxed with PBE, the powder diffractogram of Pa3AlSe2O6 was calculated for Cu Ka.

Crystal structure
a = 12.6886 Å, b = 7.6109 Å, c = 5.9572 Å
α = 90.00°, β = 109.37°, γ = 90.00°
Space group C2/m (No. 12)
Inequivalent atoms, fractional coordinates:
Pa 0.0000 0.0000 0.0000 x2
Pa 0.2500 0.2500 0.5000 x4
Al 0.0000 0.5000 0.5000 x2
Se 0.1816 0.0000 0.7957 x4
O 0.0959 0.1967 0.2350 x8
O 0.1796 0.5000 0.5633 x4

The 10 most intense peaks (10° ≤ 2θ ≤ 80°), sorted by position:
| 2θ/deg | I (rel.) |
| --- | --- |
| 13.8 | 75 |
| 14.8 | 40 |
| 17.7 | 100 |
| 22.8 | 54 |
| 25.1 | 65 |
| 27.8 | 63 |
| 28.3 | 84 |
| 35.9 | 37 |
| 37.4 | 58 |
| 38.6 | 49 |